Diffraction record for Li9Mn2Co5O16. The powder X-ray diffraction pattern is theoretical, not measured: it uses a crystal structure in the Materials Project, relaxed with GGA+U and Cu Kα (weighted mean of Kα1 and Kα2).

Principal peaks in the range 2θ from 10° to 90°, most intense first:
(0 1 -1), d = 4.868 Å, I = 100
(1 1 2), d = 2.103 Å, I = 29
(-1 2 3), d = 2.056 Å, I = 26
(1 0 3), d = 2.517 Å, I = 26
(0 1 -9), d = 2.097 Å, I = 26
(0 3 5), d = 1.480 Å, I = 14
(-2 1 1), d = 1.460 Å, I = 14
(-1 1 4), d = 2.473 Å, I = 13
(1 2 -7), d = 1.490 Å, I = 7
(1 -3 6), d = 1.477 Å, I = 7

Structure:
```
data_Li9Mn2Co5O16
_chemical_formula_sum 'Li9 Mn2 Co5 O16'
_space_group_name_H-M_alt 'P -1'
_space_group_IT_number 2
_cell_length_a 2.9204
_cell_length_b 5.1227
_cell_length_c 20.2227
_cell_angle_alpha 93.26
_cell_angle_beta 93.50
_cell_angle_gamma 105.47
loop_
_space_group_symop_operation_xyz
'x,y,z'
'-x,-y,-z'
loop_
_atom_site_label
_atom_site_fract_x
_atom_site_fract_y
_atom_site_fract_z
Li1 0.0000 0.0000 0.0000
Li2 0.0872 0.3223 0.8198
Li3 0.1911 0.9423 0.4396
Li4 0.3080 0.5799 0.0552
Li5 0.4239 0.1808 0.6839
Mn1 0.2385 0.2467 0.2510
Co1 0.1209 0.6259 0.6229
Co2 0.3786 0.8655 0.8856
Co3 0.5000 0.5000 0.5000
O1 0.0097 0.1284 0.9008
O2 0.1284 0.5030 0.7174
O3 0.1433 0.7654 0.5331
O4 0.2042 0.1156 0.3413
O5 0.2632 0.3818 0.1655
O6 0.3412 0.7130 0.9624
O7 0.3875 0.9968 0.7746
O8 0.4420 0.3621 0.5908
```


Diffraction record for V2NiP2H8O14. The powder X-ray diffraction pattern is theoretical, not measured: it uses a crystal structure in the Materials Project, relaxed with GGA+U and Cu Kα (weighted mean of Kα1 and Kα2).

Principal peaks in the range 2θ from 10° to 90°, most intense first:
(1 0 3), d = 3.652 Å, I = 100
(2 0 2), d = 2.864 Å, I = 92
(0 0 2), d = 6.705 Å, I = 90
(2 0 0), d = 3.167 Å, I = 81
(0 0 4), d = 3.353 Å, I = 60
(2 1 1), d = 2.771 Å, I = 53
(1 0 1), d = 5.727 Å, I = 52
(2 2 4), d = 1.862 Å, I = 46
(2 2 0), d = 2.239 Å, I = 42
(1 3 0), d = 2.003 Å, I = 36

Structure:
```
data_V2NiP2H8O14
_chemical_formula_sum 'V4 Ni2 P4 H16 O28'
_space_group_name_H-M_alt 'I 4/m'
_space_group_IT_number 87
_space_group_name_Hall '-I 4'
_cell_length_a 6.3339
_cell_length_b 6.3339
_cell_length_c 13.4105
_cell_angle_alpha 90.00
_cell_angle_beta 90.00
_cell_angle_gamma 90.00
loop_
_atom_site_label
_atom_site_fract_x
_atom_site_fract_y
_atom_site_fract_z
V1 0.0000 0.0000 0.2226
Ni1 0.0000 0.0000 0.5000
P1 0.0000 0.5000 0.2500
H1 0.1535 0.3183 0.0598
O1 0.0000 0.0000 0.3451
O2 0.0274 0.3041 0.1815
O3 0.2004 0.7428 0.5000
```


Diffraction record for LiVSiO4. The powder X-ray diffraction pattern is theoretical, not measured: it uses a crystal structure in the Materials Project, relaxed with GGA+U and Cu Kα (weighted mean of Kα1 and Kα2).

Principal peaks in the range 2θ from 10° to 90°, most intense first:
(1 0 1), d = 4.110 Å, I = 100
(1 1 2), d = 2.566 Å, I = 64
(1 2 1), d = 2.090 Å, I = 17
(2 0 4), d = 1.511 Å, I = 17
(1 3 2), d = 1.427 Å, I = 13
(2 1 3), d = 1.660 Å, I = 13
(2 2 0), d = 1.717 Å, I = 12
(1 0 3), d = 2.274 Å, I = 8
(2 3 1), d = 1.327 Å, I = 7
(2 1 5), d = 1.259 Å, I = 5

Structure:
```
data_LiVSiO4
_chemical_formula_sum 'Li2 V2 Si2 O8'
_space_group_name_H-M_alt 'I -4'
_space_group_IT_number 82
_cell_length_a 4.8552
_cell_length_b 4.8552
_cell_length_c 7.7228
_cell_angle_alpha 90.00
_cell_angle_beta 90.00
_cell_angle_gamma 90.00
loop_
_space_group_symop_operation_xyz
'x,y,z'
'y,-x,-z'
'-x,-y,z'
'-y,x,-z'
'x+1/2,y+1/2,z+1/2'
'y+1/2,-x+1/2,-z+1/2'
'-x+1/2,-y+1/2,z+1/2'
'-y+1/2,x+1/2,-z+1/2'
loop_
_atom_site_label
_atom_site_fract_x
_atom_site_fract_y
_atom_site_fract_z
Li1 0.0000 0.0000 0.0000
V1 0.0000 0.0000 0.5000
Si1 0.0000 0.5000 0.2500
O1 0.1838 0.2925 0.3731
```


Repeat the second record exactly.
Diffraction record for V2NiP2H8O14. The powder X-ray diffraction pattern is theoretical, not measured: it uses a crystal structure in the Materials Project, relaxed with GGA+U and Cu Kα (weighted mean of Kα1 and Kα2).

Principal peaks in the range 2θ from 10° to 90°, most intense first:
(1 0 3), d = 3.652 Å, I = 100
(2 0 2), d = 2.864 Å, I = 92
(0 0 2), d = 6.705 Å, I = 90
(2 0 0), d = 3.167 Å, I = 81
(0 0 4), d = 3.353 Å, I = 60
(2 1 1), d = 2.771 Å, I = 53
(1 0 1), d = 5.727 Å, I = 52
(2 2 4), d = 1.862 Å, I = 46
(2 2 0), d = 2.239 Å, I = 42
(1 3 0), d = 2.003 Å, I = 36

Structure:
```
data_V2NiP2H8O14
_chemical_formula_sum 'V4 Ni2 P4 H16 O28'
_space_group_name_H-M_alt 'I 4/m'
_space_group_IT_number 87
_space_group_name_Hall '-I 4'
_cell_length_a 6.3339
_cell_length_b 6.3339
_cell_length_c 13.4105
_cell_angle_alpha 90.00
_cell_angle_beta 90.00
_cell_angle_gamma 90.00
loop_
_atom_site_label
_atom_site_fract_x
_atom_site_fract_y
_atom_site_fract_z
V1 0.0000 0.0000 0.2226
Ni1 0.0000 0.0000 0.5000
P1 0.0000 0.5000 0.2500
H1 0.1535 0.3183 0.0598
O1 0.0000 0.0000 0.3451
O2 0.0274 0.3041 0.1815
O3 0.2004 0.7428 0.5000
```